Entry 1:
This entry pairs a crystal structure of Ac3Tl4InSe8 with its simulated powder diffractogram. Radiation: λ = 1.5418 Å (Cu Kα). Structure: a DFT-relaxed cell (GGA-PBE, Alexandria).

Top 10 peaks for 2θ = 15–90°, sorted by position:
Position (°2θ), intensity, hkl
22.95, 12, 0 0 2
24.29, 26, 2 2 0
27.74, 100, 4 0 0
38.78, 38, 2 2 2
40.47, 37, 0 4 0
49.78, 20, 4 4 0
57.30, 12, 8 0 0
63.63, 16, 6 2 2
66.01, 17, 10 2 -2
72.48, 12, 8 4 0

Atomic structure:
```
data_Ac3Tl4InSe8
_space_group_name_H-M_alt 'C 1 2/m 1'
_space_group_IT_number 12
_cell_length_a 15.446
_cell_length_b 8.913
_cell_length_c 9.306
_cell_angle_alpha 90.00
_cell_angle_beta 123.60
_cell_angle_gamma 90.00
loop_
_space_group_symop_operation_xyz
'x,y,z'
'-x,-y,-z'
'-x,y,-z'
'x,-y,z'
'x+1/2,y+1/2,z'
'-x+1/2,-y+1/2,-z'
'-x+1/2,y+1/2,-z'
'x+1/2,-y+1/2,z'
loop_
_atom_site_label
_atom_site_type_symbol
_atom_site_fract_x
_atom_site_fract_y
_atom_site_fract_z
Ac1 Ac 0.000 0.000 0.000
Ac2 Ac 0.250 0.250 0.000
Tl1 Tl 0.000 0.000 0.500
Tl2 Tl 0.000 0.500 0.500
Tl3 Tl 0.250 0.250 0.500
In1 In 0.000 0.500 0.000
Se1 Se 0.007 0.266 0.788
Se2 Se 0.228 0.500 0.213
Se3 Se 0.240 0.000 0.221
```

---

Entry 2:
This entry pairs a crystal structure of Ac4Te2H9 with its simulated powder diffractogram. Radiation: λ = 1.5418 Å (Cu Kα). Structure: a DFT-relaxed cell (GGA-PBE, Alexandria).

Top 10 peaks for 2θ = 15–90°, sorted by position:
Position (°2θ), intensity, hkl
21.74, 12, 0 0 4
24.15, 31, 1 0 0
24.77, 12, 0 1 1
29.25, 100, 0 1 3
32.86, 10, 0 0 6
42.49, 30, 1 1 0
46.00, 11, 0 1 7
52.42, 20, 2 0 3
54.72, 16, 1 1 6
69.68, 18, 1 2 3

Atomic structure:
```
data_Ac4Te2H9
_space_group_name_H-M_alt 'P -3 m 1'
_space_group_IT_number 164
_space_group_name_Hall '-P 3 2"'
_cell_length_a 4.2553
_cell_length_b 4.2553
_cell_length_c 16.3527
_cell_angle_alpha 90.00
_cell_angle_beta 90.00
_cell_angle_gamma 120.00
loop_
_atom_site_label
_atom_site_type_symbol
_atom_site_fract_x
_atom_site_fract_y
_atom_site_fract_z
Ac1 Ac 0.3333 0.6667 0.1091
Ac2 Ac 0.3333 0.6667 0.3958
Te1 Te 0.3333 0.6667 0.7482
H1 H 0.0000 0.0000 0.0985
H2 H 0.0000 0.0000 0.3740
H3 H 0.0000 0.0000 0.5000
H4 H 0.3333 0.6667 0.5482
H5 H 0.3333 0.6667 0.9529
```

---

Entry 3:
This entry pairs a crystal structure of Pr5Nd12Ho with its simulated powder diffractogram. Radiation: λ = 1.5418 Å (Cu Kα). Structure: a DFT-relaxed cell (GGA-PBE, Alexandria).

Top 10 peaks for 2θ = 15–90°, sorted by position:
Position (°2θ), intensity, hkl
29.72, 100, 3 3 1
34.45, 51, 6 0 0
49.51, 36, 6 6 0
58.82, 43, 9 3 1
61.71, 12, 6 6 2
72.59, 4, 0 0 4
72.69, 2, 12 0 0
80.38, 18, 9 9 1
82.89, 11, 6 0 4
82.98, 5, 12 6 0

Atomic structure:
```
data_Pr5Nd12Ho
_space_group_name_H-M_alt 'C m m m'
_space_group_IT_number 65
_space_group_name_Hall '-C 2 2'
_cell_length_a 15.609
_cell_length_b 15.630
_cell_length_c 5.209
_cell_angle_alpha 90.00
_cell_angle_beta 90.00
_cell_angle_gamma 90.00
loop_
_atom_site_label
_atom_site_type_symbol
_atom_site_fract_x
_atom_site_fract_y
_atom_site_fract_z
Pr1 Pr 0.000 0.000 0.000
Pr2 Pr 0.165 0.500 0.000
Pr3 Pr 0.167 0.000 0.500
Nd1 Nd 0.000 0.168 0.500
Nd2 Nd 0.000 0.334 0.000
Nd3 Nd 0.166 0.334 0.500
Nd4 Nd 0.167 0.167 0.000
Ho1 Ho 0.000 0.500 0.500
```